# 1
Calculated powder XRD pattern of Li4Mn3Fe3W2O16 for Cu Kα (weighted mean of Kα1 and Kα2), from a DFT-relaxed cell (GGA+U, the Materials Project).
Lines closer than 0.1° are merged.

Structure:
```
data_Li4Mn3Fe3W2O16
_chemical_formula_sum 'Li4 Mn3 Fe3 W2 O16'
_cell_length_a 5.9624
_cell_length_b 6.0487
_cell_length_c 9.8724
_cell_angle_alpha 88.55
_cell_angle_beta 89.19
_cell_angle_gamma 60.51
_space_group_name_H-M_alt 'P 1'
_space_group_IT_number 1
loop_
_space_group_symop_operation_xyz
'x,y,z'
loop_
_atom_site_label
_atom_site_type_symbol
_atom_site_fract_x
_atom_site_fract_y
_atom_site_fract_z
Li1 Li 0.0000 0.0000 0.0000
Li2 Li 0.0044 0.9849 0.4974
Li3 Li 0.3449 0.3213 0.4203
Li4 Li 0.6643 0.6691 0.9220
Mn1 Mn 0.1709 0.1666 0.7256
Mn2 Mn 0.6658 0.1631 0.7258
Mn3 Mn 0.8345 0.3321 0.2228
Fe1 Fe 0.1737 0.6529 0.7256
Fe2 Fe 0.3415 0.8239 0.2264
Fe3 Fe 0.8282 0.8254 0.2281
W1 W 0.3213 0.3476 0.9993
W2 W 0.6757 0.6571 0.4958
O1 O 0.0362 0.4773 0.8710
O2 O 0.1645 0.1731 0.0978
O3 O 0.1651 0.6482 0.1020
O4 O 0.3511 0.3086 0.6258
O5 O 0.3583 0.8051 0.5910
O6 O 0.4763 0.0419 0.8555
O7 O 0.4835 0.4781 0.8731
O8 O 0.5386 0.9490 0.3666
O9 O 0.5471 0.4930 0.3660
O10 O 0.6494 0.1550 0.0987
O11 O 0.6812 0.6505 0.1259
O12 O 0.8401 0.8014 0.5975
O13 O 0.8439 0.3211 0.6033
O14 O 0.9734 0.5186 0.3629
O15 O 0.9905 0.0041 0.3100
O16 O 0.9962 0.0042 0.8121
```

Principal peaks in the range 10° ≤ 2θ ≤ 90°, by angle:
- 18.94°, d = 4.686 Å, rel. 30.4
- 19.15°, d = 4.634 Å, rel. 32.5
- 19.31°, d = 4.597 Å, rel. 100.0
- 19.52°, d = 4.548 Å, rel. 30.3
- 24.90°, d = 3.577 Å, rel. 15.6
- 32.22°, d = 2.779 Å, rel. 23.2
- 34.59°, d = 2.593 Å, rel. 27.0
- 34.95°, d = 2.567 Å, rel. 27.4
- 35.43°, d = 2.534 Å, rel. 21.4
- 61.30°, d = 1.512 Å, rel. 20.6


# 2
Calculated powder XRD pattern of Li4Mn3Fe3W2O16 for Cu Kα (weighted mean of Kα1 and Kα2), from a DFT-relaxed cell (GGA+U, the Materials Project).
Lines closer than 0.1° are merged.

Structure:
```
data_Li4Mn3Fe3W2O16
_chemical_formula_sum 'Li8 Mn6 Fe6 W4 O32'
_cell_length_a 10.3421
_cell_length_b 5.8567
_cell_length_c 9.7577
_cell_angle_alpha 90.00
_cell_angle_beta 92.36
_cell_angle_gamma 90.00
_space_group_name_H-M_alt 'C 1 m 1'
_space_group_IT_number 8
loop_
_space_group_symop_operation_xyz
'x,y,z'
'x,-y,z'
'x+1/2,y+1/2,z'
'x+1/2,-y+1/2,z'
loop_
_atom_site_label
_atom_site_type_symbol
_atom_site_fract_x
_atom_site_fract_y
_atom_site_fract_z
Li1 Li 0.0000 0.0000 0.0000
Li2 Li 0.0016 0.0000 0.4981
Li3 Li 0.1586 0.5000 0.4135
Li4 Li 0.3254 0.0000 0.9199
Mn1 Mn 0.3263 0.5000 0.7205
Mn2 Mn 0.4085 0.2474 0.2256
Fe1 Fe 0.0814 0.2630 0.7290
Fe2 Fe 0.1667 0.0000 0.2220
W1 W 0.1605 0.5000 0.9983
W2 W 0.3187 0.0000 0.4985
O1 O 0.0023 0.0000 0.3091
O2 O 0.0118 0.5000 0.8726
O3 O 0.1015 0.2506 0.1026
O4 O 0.1672 0.5000 0.6195
O5 O 0.1703 0.0000 0.6008
O6 O 0.2394 0.2810 0.8622
O7 O 0.2442 0.2121 0.3555
O8 O 0.3257 0.0000 0.1263
O9 O 0.3346 0.5000 0.1047
O10 O 0.4073 0.2460 0.5883
O11 O 0.4720 0.0000 0.3509
O12 O 0.4912 0.5000 0.8082
```

Principal peaks in the range 10° ≤ 2θ ≤ 90°, by angle:
- 19.11°, d = 4.645 Å, rel. 35.2
- 19.49°, d = 4.554 Å, rel. 72.7
- 19.81°, d = 4.482 Å, rel. 100.0
- 25.58°, d = 3.483 Å, rel. 27.6
- 32.37°, d = 2.766 Å, rel. 27.2
- 32.99°, d = 2.715 Å, rel. 24.3
- 34.80°, d = 2.578 Å, rel. 36.5
- 35.77°, d = 2.510 Å, rel. 30.0
- 35.97°, d = 2.497 Å, rel. 30.5
- 36.29°, d = 2.476 Å, rel. 25.2


What did the second record say?
Calculated powder XRD pattern of Li4Mn3Fe3W2O16 for Cu Kα (weighted mean of Kα1 and Kα2), from a DFT-relaxed cell (GGA+U, the Materials Project).
Lines closer than 0.1° are merged.

Structure:
```
data_Li4Mn3Fe3W2O16
_chemical_formula_sum 'Li8 Mn6 Fe6 W4 O32'
_cell_length_a 10.3421
_cell_length_b 5.8567
_cell_length_c 9.7577
_cell_angle_alpha 90.00
_cell_angle_beta 92.36
_cell_angle_gamma 90.00
_space_group_name_H-M_alt 'C 1 m 1'
_space_group_IT_number 8
loop_
_space_group_symop_operation_xyz
'x,y,z'
'x,-y,z'
'x+1/2,y+1/2,z'
'x+1/2,-y+1/2,z'
loop_
_atom_site_label
_atom_site_type_symbol
_atom_site_fract_x
_atom_site_fract_y
_atom_site_fract_z
Li1 Li 0.0000 0.0000 0.0000
Li2 Li 0.0016 0.0000 0.4981
Li3 Li 0.1586 0.5000 0.4135
Li4 Li 0.3254 0.0000 0.9199
Mn1 Mn 0.3263 0.5000 0.7205
Mn2 Mn 0.4085 0.2474 0.2256
Fe1 Fe 0.0814 0.2630 0.7290
Fe2 Fe 0.1667 0.0000 0.2220
W1 W 0.1605 0.5000 0.9983
W2 W 0.3187 0.0000 0.4985
O1 O 0.0023 0.0000 0.3091
O2 O 0.0118 0.5000 0.8726
O3 O 0.1015 0.2506 0.1026
O4 O 0.1672 0.5000 0.6195
O5 O 0.1703 0.0000 0.6008
O6 O 0.2394 0.2810 0.8622
O7 O 0.2442 0.2121 0.3555
O8 O 0.3257 0.0000 0.1263
O9 O 0.3346 0.5000 0.1047
O10 O 0.4073 0.2460 0.5883
O11 O 0.4720 0.0000 0.3509
O12 O 0.4912 0.5000 0.8082
```

Principal peaks in the range 10° ≤ 2θ ≤ 90°, by angle:
- 19.11°, d = 4.645 Å, rel. 35.2
- 19.49°, d = 4.554 Å, rel. 72.7
- 19.81°, d = 4.482 Å, rel. 100.0
- 25.58°, d = 3.483 Å, rel. 27.6
- 32.37°, d = 2.766 Å, rel. 27.2
- 32.99°, d = 2.715 Å, rel. 24.3
- 34.80°, d = 2.578 Å, rel. 36.5
- 35.77°, d = 2.510 Å, rel. 30.0
- 35.97°, d = 2.497 Å, rel. 30.5
- 36.29°, d = 2.476 Å, rel. 25.2


Q: What is the formula in the first record?
A: Li4Mn3Fe3W2O16